# Mn4SiOs
Calculated X-ray diffraction stick pattern, Cu Ka. Input: the GGA-PBE geometry in Alexandria.

Atomic structure:
abc: 6.298 6.298 3.992
angles: 90.00 90.00 153.01
Fractional coordinates of all 6 atoms:
Mn 0.170 0.830 0.000
Mn 0.329 0.671 0.500
Mn 0.671 0.329 0.500
Mn 0.830 0.170 0.000
Si 0.000 0.000 0.500
Os 0.500 0.500 0.000

Principal peaks in the range 15° ≤ 2θ ≤ 90°, in order of falling intensity:
d (Å)  I (rel.)
2.048  100
3.344  26
2.041  25
1.996  23
3.992  19
2.858  17
1.162  16
1.180  15

# MnSi2Os
Calculated X-ray diffraction stick pattern, Cu Ka. Input: the GGA-PBE geometry in Alexandria.

Atomic structure:
abc: 2.887 2.887 5.735
angles: 90.00 90.00 90.00
Fractional coordinates of all 4 atoms:
Mn 0.000 0.000 0.000
Si 0.500 0.500 0.232
Si 0.500 0.500 0.768
Os 0.000 0.000 0.500

Principal peaks in the range 15° ≤ 2θ ≤ 90°, in order of falling intensity:
d (Å)  I (rel.)
2.035  100
5.735  58
2.887  52
2.042  51
2.579  42
1.177  34
2.867  26
1.663  21

# TaMn2Os2
Calculated X-ray diffraction stick pattern, Cu Ka. Input: the GGA-PBE geometry in Alexandria.

Atomic structure:
abc: 7.238 7.238 2.687
angles: 90.00 90.00 90.00
Fractional coordinates of all 10 atoms:
Ta 0.000 0.000 0.000
Ta 0.500 0.500 0.000
Mn 0.169 0.331 0.500
Mn 0.331 0.831 0.500
Mn 0.669 0.169 0.500
Mn 0.831 0.669 0.500
Os 0.127 0.627 0.000
Os 0.373 0.127 0.000
Os 0.627 0.873 0.000
Os 0.873 0.373 0.000

Principal peaks in the range 15° ≤ 2θ ≤ 90°, in order of falling intensity:
d (Å)  I (rel.)
2.068  100
2.289  99
1.742  49
3.237  47
2.687  41
2.008  25
2.157  24
1.255  23

# MnTcOs
Calculated X-ray diffraction stick pattern, Cu Ka. Input: the GGA-PBE geometry in Alexandria.

Atomic structure:
abc: 4.622 4.622 4.622
angles: 146.16 131.64 60.33
Fractional coordinates of all 3 atoms:
Mn 0.000 0.000 0.000
Tc 0.333 0.333 0.000
Os 0.663 0.663 0.000

Principal peaks in the range 15° ≤ 2θ ≤ 90°, in order of falling intensity:
d (Å)  I (rel.)
2.193  100
2.179  98
1.893  95
1.339  40
3.422  37
3.996  26
1.145  24
1.138  24

# Mn2TcOs
Calculated X-ray diffraction stick pattern, Cu Ka. Input: the GGA-PBE geometry in Alexandria.

Atomic structure:
abc: 4.519 4.519 4.519
angles: 130.89 130.89 71.99
Fractional coordinates of all 4 atoms:
Mn 0.250 0.750 0.500
Mn 0.750 0.250 0.500
Tc 0.000 0.000 0.000
Os 0.500 0.500 0.000

Principal peaks in the range 15° ≤ 2θ ≤ 90°, in order of falling intensity:
d (Å)  I (rel.)
2.149  100
1.878  33
1.130  24
3.657  20
1.310  19
2.656  18
1.828  15
3.341  15

# MnTcOs4
Calculated X-ray diffraction stick pattern, Cu Ka. Input: the GGA-PBE geometry in Alexandria.

Atomic structure:
abc: 5.094 5.094 5.094
angles: 60.00 60.00 60.00
Fractional coordinates of all 6 atoms:
Mn 0.000 0.000 0.000
Tc 0.250 0.250 0.250
Os 0.125 0.625 0.625
Os 0.625 0.125 0.625
Os 0.625 0.625 0.125
Os 0.625 0.625 0.625

Principal peaks in the range 15° ≤ 2θ ≤ 90°, in order of falling intensity:
d (Å)  I (rel.)
2.172  100
2.079  70
4.159  53
1.386  32
1.273  31
1.801  21
1.653  13
1.099  12